# 1
Structure and computed PXRD pattern of TbCo5P3 (a cell relaxed with GGA-PBE; Cu Kα X-rays).
Kinematic intensities with the Lorentz-polarization factor, no thermal factor.

Peak list (10 most intense, 5 to 70 degrees two-theta, in order of rising 2θ)
- 2θ = 27.0°, intensity 19
- 2θ = 30.2°, intensity 15
- 2θ = 35.7°, intensity 14
- 2θ = 35.9°, intensity 11
- 2θ = 38.0°, intensity 19
- 2θ = 39.2°, intensity 100
- 2θ = 39.4°, intensity 68
- 2θ = 40.4°, intensity 26
- 2θ = 50.0°, intensity 37
- 2θ = 54.0°, intensity 21

Crystal structure
```
data_TbCo5P3
_chemical_formula_sum 'Tb4 Co20 P12'
_cell_length_a 11.736
_cell_length_b 3.651
_cell_length_c 10.296
_cell_angle_alpha 90.00
_cell_angle_beta 90.00
_cell_angle_gamma 90.00
_symmetry_space_group_name_H-M 'P n m a'
_symmetry_Int_Tables_number 62
_symmetry_space_group_name_Hall '-P 2ac 2n'
loop_
_atom_site_label
_atom_site_fract_x
_atom_site_fract_y
_atom_site_fract_z
Tb1 0.202 0.250 0.083
Co1 0.008 0.750 0.716
Co2 0.012 0.750 0.093
Co3 0.068 0.750 0.468
Co4 0.176 0.250 0.779
Co5 0.198 0.250 0.383
P1 0.109 0.750 0.898
P2 0.112 0.250 0.582
P3 0.130 0.750 0.272
```

---

# 2
Structure and computed PXRD pattern of Pr4Dy5Y3 (a cell relaxed with GGA-PBE; Cu Kα X-rays).
Kinematic intensities with the Lorentz-polarization factor, no thermal factor.

Peak list (10 most intense, 5 to 70 degrees two-theta, in order of rising 2θ)
- 2θ = 28.3°, intensity 30
- 2θ = 28.7°, intensity 28
- 2θ = 29.2°, intensity 38
- 2θ = 30.0°, intensity 100
- 2θ = 31.0°, intensity 40
- 2θ = 31.5°, intensity 69
- 2θ = 32.2°, intensity 69
- 2θ = 32.3°, intensity 31
- 2θ = 33.1°, intensity 59
- 2θ = 43.6°, intensity 32

Crystal structure
```
data_Pr4Dy5Y3
_chemical_formula_sum 'Pr8 Dy10 Y6'
_cell_length_a 16.250
_cell_length_b 5.965
_cell_length_c 9.493
_cell_angle_alpha 90.00
_cell_angle_beta 116.99
_cell_angle_gamma 90.00
_symmetry_space_group_name_H-M 'C 1 2/m 1'
_symmetry_Int_Tables_number 12
_symmetry_space_group_name_Hall '-C 2y'
loop_
_atom_site_label
_atom_site_fract_x
_atom_site_fract_y
_atom_site_fract_z
Pr1 0.085 0.000 0.448
Pr2 0.216 0.000 0.882
Dy1 0.000 0.000 0.000
Dy2 0.070 0.500 0.702
Dy3 0.171 0.500 0.384
Y1 0.000 0.500 0.000
Y2 0.213 0.000 0.236
```

---

# 3
Structure and computed PXRD pattern of LiTbPuO4 (a cell relaxed with GGA-PBE; Cu Kα X-rays).
Kinematic intensities with the Lorentz-polarization factor, no thermal factor.

Peak list (10 most intense, 5 to 70 degrees two-theta, in order of rising 2θ)
- 2θ = 21.4°, intensity 100
- 2θ = 22.5°, intensity 53
- 2θ = 29.2°, intensity 51
- 2θ = 30.9°, intensity 94
- 2θ = 31.6°, intensity 80
- 2θ = 37.2°, intensity 30
- 2θ = 43.6°, intensity 30
- 2θ = 52.9°, intensity 32
- 2θ = 55.3°, intensity 30
- 2θ = 62.5°, intensity 24

Crystal structure
```
data_LiTbPuO4
_chemical_formula_sum 'Li4 Tb4 Pu4 O16'
_cell_length_a 6.109
_cell_length_b 9.602
_cell_length_c 6.986
_cell_angle_alpha 90.00
_cell_angle_beta 90.00
_cell_angle_gamma 90.00
_symmetry_space_group_name_H-M 'C m c m'
_symmetry_Int_Tables_number 63
_symmetry_space_group_name_Hall '-C 2c 2'
loop_
_atom_site_label
_atom_site_fract_x
_atom_site_fract_y
_atom_site_fract_z
Li1 0.000 0.156 0.250
Tb1 0.000 0.500 0.000
Pu1 0.000 0.160 0.750
O1 0.000 0.262 0.010
O2 0.250 0.001 0.250
```

---

# 4
Structure and computed PXRD pattern of Nb3CN (a cell relaxed with GGA-PBE; Cu Kα X-rays).
Kinematic intensities with the Lorentz-polarization factor, no thermal factor.

Peak list (10 most intense, 5 to 70 degrees two-theta, in order of rising 2θ)
- 2θ = 19.5°, intensity 4
- 2θ = 32.3°, intensity 29
- 2θ = 34.1°, intensity 15
- 2θ = 37.9°, intensity 100
- 2θ = 47.7°, intensity 22
- 2θ = 52.0°, intensity 1
- 2θ = 55.9°, intensity 2
- 2θ = 61.0°, intensity 18
- 2θ = 61.4°, intensity 23
- 2θ = 67.7°, intensity 4

Crystal structure
```
data_Nb3CN
_chemical_formula_sum 'Nb6 C2 N2'
_cell_length_a 5.2619
_cell_length_b 5.2619
_cell_length_c 5.5361
_cell_angle_alpha 90.00
_cell_angle_beta 90.00
_cell_angle_gamma 120.00
_symmetry_space_group_name_H-M 'P -6 c 2'
_symmetry_Int_Tables_number 188
_symmetry_space_group_name_Hall 'P -6c 2'
loop_
_atom_site_label
_atom_site_fract_x
_atom_site_fract_y
_atom_site_fract_z
Nb1 0.0010 0.3489 0.2500
C1 0.6667 0.3333 0.0000
N1 0.3333 0.6667 0.0000
```

---

# 5
Structure and computed PXRD pattern of As3Br (a cell relaxed with GGA-PBE; Cu Kα X-rays).
Kinematic intensities with the Lorentz-polarization factor, no thermal factor.

Peak list (10 most intense, 5 to 70 degrees two-theta, in order of rising 2θ)
- 2θ = 17.3°, intensity 21
- 2θ = 25.3°, intensity 21
- 2θ = 30.5°, intensity 100
- 2θ = 34.5°, intensity 56
- 2θ = 37.3°, intensity 46
- 2θ = 39.8°, intensity 38
- 2θ = 51.8°, intensity 44
- 2θ = 52.9°, intensity 21
- 2θ = 53.0°, intensity 18
- 2θ = 53.8°, intensity 20

Crystal structure
```
data_As3Br
_chemical_formula_sum 'As3 Br1'
_cell_length_a 3.971
_cell_length_b 4.819
_cell_length_c 5.500
_cell_angle_alpha 90.00
_cell_angle_beta 110.98
_cell_angle_gamma 90.00
_symmetry_space_group_name_H-M 'P 1 2/m 1'
_symmetry_Int_Tables_number 10
_symmetry_space_group_name_Hall '-P 2y'
loop_
_atom_site_label
_atom_site_fract_x
_atom_site_fract_y
_atom_site_fract_z
As1 0.000 0.000 0.000
As2 0.177 0.500 0.842
Br1 0.500 0.000 0.500
```

---

# 6
Structure and computed PXRD pattern of TbEr6Tm12 (a cell relaxed with GGA-PBE; Cu Kα X-rays).
Kinematic intensities with the Lorentz-polarization factor, no thermal factor.

Peak list (10 most intense, 5 to 70 degrees two-theta, in order of rising 2θ)
- 2θ = 26.7°, intensity 79
- 2θ = 29.1°, intensity 47
- 2θ = 31.9°, intensity 100
- 2θ = 33.9°, intensity 57
- 2θ = 35.5°, intensity 88
- 2θ = 38.3°, intensity 36
- 2θ = 38.4°, intensity 21
- 2θ = 39.6°, intensity 48
- 2θ = 62.9°, intensity 33
- 2θ = 63.2°, intensity 27

Crystal structure
```
data_TbEr6Tm12
_chemical_formula_sum 'Tb3 Er18 Tm36'
_cell_length_a 14.7151
_cell_length_b 14.7151
_cell_length_c 10.1229
_cell_angle_alpha 90.00
_cell_angle_beta 90.00
_cell_angle_gamma 120.00
_symmetry_space_group_name_H-M 'R -3 m'
_symmetry_Int_Tables_number 166
_symmetry_space_group_name_Hall '-R 3 2"'
loop_
_atom_site_label
_atom_site_fract_x
_atom_site_fract_y
_atom_site_fract_z
Tb1 0.0000 0.0000 0.0000
Er1 0.0644 0.5322 0.2189
Tm1 0.0000 0.3880 0.5000
Tm2 0.0763 0.1525 0.2678
```

---

# 7
Structure and computed PXRD pattern of Y4ErTm5 (a cell relaxed with GGA-PBE; Cu Kα X-rays).
Kinematic intensities with the Lorentz-polarization factor, no thermal factor.

Peak list (10 most intense, 5 to 70 degrees two-theta, in order of rising 2θ)
- 2θ = 12.9°, intensity 18
- 2θ = 29.8°, intensity 36
- 2θ = 31.9°, intensity 68
- 2θ = 32.3°, intensity 70
- 2θ = 32.3°, intensity 56
- 2θ = 32.7°, intensity 100
- 2θ = 33.0°, intensity 19
- 2θ = 49.0°, intensity 18
- 2θ = 59.7°, intensity 25
- 2θ = 62.6°, intensity 15

Crystal structure
```
data_Y4ErTm5
_chemical_formula_sum 'Y4 Er1 Tm5'
_cell_length_a 3.532
_cell_length_b 6.701
_cell_length_c 13.804
_cell_angle_alpha 97.28
_cell_angle_beta 90.05
_cell_angle_gamma 104.82
_symmetry_space_group_name_H-M 'P -1'
_symmetry_Int_Tables_number 2
_symmetry_space_group_name_Hall '-P 1'
loop_
_atom_site_label
_atom_site_fract_x
_atom_site_fract_y
_atom_site_fract_z
Y1 0.120 0.202 0.307
Y2 0.180 0.328 0.713
Er1 0.000 0.500 0.500
Tm1 0.185 0.374 0.083
Tm2 0.463 0.918 0.113
Tm3 0.500 0.000 0.500
```

---

# 8
Structure and computed PXRD pattern of Sm5Ga2 (a cell relaxed with GGA-PBE; Cu Kα X-rays).
Kinematic intensities with the Lorentz-polarization factor, no thermal factor.

Peak list (10 most intense, 5 to 70 degrees two-theta, in order of rising 2θ)
- 2θ = 29.7°, intensity 29
- 2θ = 29.9°, intensity 99
- 2θ = 31.8°, intensity 31
- 2θ = 32.3°, intensity 41
- 2θ = 33.0°, intensity 90
- 2θ = 34.1°, intensity 48
- 2θ = 35.2°, intensity 99
- 2θ = 36.5°, intensity 100
- 2θ = 54.0°, intensity 33
- 2θ = 66.3°, intensity 28

Crystal structure
```
data_Sm5Ga2
_chemical_formula_sum 'Sm20 Ga8'
_cell_length_a 8.026
_cell_length_b 14.765
_cell_length_c 6.595
_cell_angle_alpha 90.00
_cell_angle_beta 90.00
_cell_angle_gamma 90.00
_symmetry_space_group_name_H-M 'I b a m'
_symmetry_Int_Tables_number 72
_symmetry_space_group_name_Hall '-I 2 2c'
loop_
_atom_site_label
_atom_site_fract_x
_atom_site_fract_y
_atom_site_fract_z
Sm1 0.000 0.000 0.250
Sm2 0.000 0.237 0.250
Sm3 0.158 0.421 0.000
Ga1 0.230 0.373 0.500
```